[1]
Diffraction record for CsRb2HAu. The X-ray diffraction stick pattern is simulated, not measured: it uses DFT lattice parameters and positions (PBE) and Cu Kα X-rays.
Neutral-atom scattering factors, no anomalous dispersion.

The 10 most intense peaks (2θ from 15° to 90°), by intensity:
2theta, d [Å], I_rel
27.19, 3.279, 100.0
21.28, 4.174, 59.6
35.35, 2.539, 51.2
26.55, 3.357, 32.1
30.11, 2.968, 28.0
29.33, 3.045, 25.2
37.29, 2.411, 24.0
39.15, 2.301, 18.8
20.51, 4.330, 18.4
38.40, 2.344, 16.5

Atomic structure:
```
data_CsRb2HAu
_cell_length_a 10.1068
_cell_length_b 10.1068
_cell_length_c 9.2039
_cell_angle_alpha 90.00
_cell_angle_beta 90.00
_cell_angle_gamma 152.39
_space_group_name_H-M_alt 'P 1'
_space_group_IT_number 1
_space_group_name_Hall 'P 1'
loop_
_atom_site_label
_atom_site_type_symbol
_atom_site_fract_x
_atom_site_fract_y
_atom_site_fract_z
Cs1 Cs 0.0102 0.9898 0.7500
Cs2 Cs 0.9898 0.0102 0.2500
Rb1 Rb 0.3429 0.6571 0.5088
Rb2 Rb 0.3429 0.6571 0.9912
Rb3 Rb 0.6571 0.3429 0.0088
Rb4 Rb 0.6571 0.3429 0.4912
H1 H 0.5000 0.5000 0.0000
H2 H 0.5000 0.5000 0.5000
Au1 Au 0.1937 0.8063 0.7500
Au2 Au 0.8063 0.1937 0.2500
```

***

[2]
Diffraction record for Li3CaCd2. The X-ray diffraction stick pattern is simulated, not measured: it uses DFT lattice parameters and positions (PBE) and Cu Kα X-rays.
Neutral-atom scattering factors, no anomalous dispersion.

The 10 most intense peaks (2θ from 15° to 90°), by intensity:
2theta, d [Å], I_rel
22.27, 3.992, 100.0
29.00, 3.079, 76.3
37.32, 2.409, 66.5
33.88, 2.646, 55.4
46.08, 1.970, 29.1
26.05, 3.421, 22.9
51.64, 1.770, 19.9
47.94, 1.897, 18.4
21.29, 4.173, 17.4
43.89, 2.063, 16.4

Atomic structure:
```
data_Li3CaCd2
_cell_length_a 4.8188
_cell_length_b 4.8188
_cell_length_c 13.6832
_cell_angle_alpha 90.00
_cell_angle_beta 90.00
_cell_angle_gamma 120.00
_space_group_name_H-M_alt 'P 1'
_space_group_IT_number 1
_space_group_name_Hall 'P 1'
loop_
_atom_site_label
_atom_site_type_symbol
_atom_site_fract_x
_atom_site_fract_y
_atom_site_fract_z
Li1 Li 0.0000 0.0000 0.0000
Li2 Li 0.0000 0.0000 0.5000
Li3 Li 0.3333 0.6667 0.0864
Li4 Li 0.3333 0.6667 0.4136
Li5 Li 0.6667 0.3333 0.5864
Li6 Li 0.6667 0.3333 0.9136
Ca1 Ca 0.0000 0.0000 0.2500
Ca2 Ca 0.0000 0.0000 0.7500
Cd1 Cd 0.3333 0.6667 0.6155
Cd2 Cd 0.3333 0.6667 0.8845
Cd3 Cd 0.6667 0.3333 0.1155
Cd4 Cd 0.6667 0.3333 0.3845
```

***

[3]
Diffraction record for AlSbCl. The X-ray diffraction stick pattern is simulated, not measured: it uses DFT lattice parameters and positions (PBE) and Cu Kα X-rays.
Neutral-atom scattering factors, no anomalous dispersion.

The 10 most intense peaks (2θ from 15° to 90°), by intensity:
2theta, d [Å], I_rel
31.22, 2.865, 100.0
37.58, 2.393, 51.1
46.53, 1.952, 32.0
23.60, 3.770, 26.1
28.82, 3.098, 24.0
51.07, 1.788, 19.7
61.08, 1.517, 13.7
56.99, 1.616, 12.7
83.57, 1.157, 11.4
52.59, 1.740, 10.8

Atomic structure:
```
data_AlSbCl
_cell_length_a 3.5768
_cell_length_b 3.5768
_cell_length_c 7.5409
_cell_angle_alpha 90.00
_cell_angle_beta 90.00
_cell_angle_gamma 120.00
_space_group_name_H-M_alt 'P 1'
_space_group_IT_number 1
_space_group_name_Hall 'P 1'
loop_
_atom_site_label
_atom_site_type_symbol
_atom_site_fract_x
_atom_site_fract_y
_atom_site_fract_z
Al1 Al 0.0000 0.0000 0.0000
Sb1 Sb 0.3333 0.6667 0.7600
Cl1 Cl 0.6667 0.3333 0.2085
```

***

[4]
Diffraction record for YLuB8Rh8. The X-ray diffraction stick pattern is simulated, not measured: it uses DFT lattice parameters and positions (PBE) and Cu Kα X-rays.
Neutral-atom scattering factors, no anomalous dispersion.

The 10 most intense peaks (2θ from 15° to 90°), by intensity:
2theta, d [Å], I_rel
39.71, 2.270, 100.0
35.79, 2.509, 94.4
40.06, 2.251, 76.5
29.26, 3.053, 52.6
45.17, 2.007, 42.2
71.20, 1.324, 31.1
64.25, 1.450, 22.3
33.84, 2.649, 19.8
64.51, 1.445, 19.6
70.72, 1.332, 19.3

Atomic structure:
```
data_YLuB8Rh8
_cell_length_a 5.3286
_cell_length_b 5.3286
_cell_length_c 7.4486
_cell_angle_alpha 90.00
_cell_angle_beta 90.00
_cell_angle_gamma 90.00
_space_group_name_H-M_alt 'P 1'
_space_group_IT_number 1
_space_group_name_Hall 'P 1'
loop_
_atom_site_label
_atom_site_type_symbol
_atom_site_fract_x
_atom_site_fract_y
_atom_site_fract_z
Y1 Y 0.0000 0.0000 0.0000
Lu1 Lu 0.5000 0.5000 0.5000
B1 B 0.0000 0.3311 0.3521
B2 B 0.0000 0.6689 0.3521
B3 B 0.1684 0.5000 0.8513
B4 B 0.3311 0.0000 0.6479
B5 B 0.5000 0.1684 0.1487
B6 B 0.5000 0.8316 0.1487
B7 B 0.6689 0.0000 0.6479
B8 B 0.8316 0.5000 0.8513
Rh1 Rh 0.0000 0.2492 0.6445
Rh2 Rh 0.0000 0.7508 0.6445
Rh3 Rh 0.2492 0.0000 0.3555
Rh4 Rh 0.2519 0.5000 0.1476
Rh5 Rh 0.5000 0.2519 0.8524
Rh6 Rh 0.5000 0.7481 0.8524
Rh7 Rh 0.7481 0.5000 0.1476
Rh8 Rh 0.7508 0.0000 0.3555
```

***

[5]
Diffraction record for Sb3PdPb. The X-ray diffraction stick pattern is simulated, not measured: it uses DFT lattice parameters and positions (PBE) and Cu Kα X-rays.
Neutral-atom scattering factors, no anomalous dispersion.

The 10 most intense peaks (2θ from 15° to 90°), by intensity:
2theta, d [Å], I_rel
30.63, 2.919, 100.0
31.89, 2.806, 48.7
26.03, 3.423, 38.3
36.53, 2.460, 29.0
44.47, 2.037, 28.2
28.36, 3.147, 25.9
40.62, 2.221, 24.0
31.78, 2.816, 21.0
45.12, 2.010, 18.4
45.33, 2.000, 15.5

Atomic structure:
```
data_Sb3PdPb
_cell_length_a 6.4754
_cell_length_b 6.2935
_cell_length_c 6.8600
_cell_angle_alpha 90.00
_cell_angle_beta 104.46
_cell_angle_gamma 90.00
_space_group_name_H-M_alt 'P 1'
_space_group_IT_number 1
_space_group_name_Hall 'P 1'
loop_
_atom_site_label
_atom_site_type_symbol
_atom_site_fract_x
_atom_site_fract_y
_atom_site_fract_z
Sb1 Sb 0.1587 0.0000 0.2096
Sb2 Sb 0.2880 0.6199 0.0078
Sb3 Sb 0.3034 0.4887 0.5075
Sb4 Sb 0.6966 0.9887 0.4925
Sb5 Sb 0.7120 0.1199 0.9922
Sb6 Sb 0.8413 0.5000 0.7904
Pd1 Pd 0.4792 0.2889 0.2378
Pd2 Pd 0.5208 0.7889 0.7622
Pb1 Pb 0.1710 0.0875 0.7052
Pb2 Pb 0.8290 0.5875 0.2948
```

***

[6]
Diffraction record for Nd2PdRh2. The X-ray diffraction stick pattern is simulated, not measured: it uses DFT lattice parameters and positions (PBE) and Cu Kα X-rays.
Neutral-atom scattering factors, no anomalous dispersion.

The 10 most intense peaks (2θ from 15° to 90°), by intensity:
2theta, d [Å], I_rel
33.28, 2.693, 100.0
38.82, 2.320, 75.8
38.34, 2.348, 54.8
39.58, 2.277, 42.0
69.00, 1.361, 31.3
36.32, 2.473, 27.4
25.02, 3.559, 19.6
56.32, 1.634, 18.9
54.80, 1.675, 16.7
43.99, 2.059, 16.1

Atomic structure:
```
data_Nd2PdRh2
_cell_length_a 4.5536
_cell_length_b 5.7061
_cell_length_c 8.2341
_cell_angle_alpha 90.00
_cell_angle_beta 90.00
_cell_angle_gamma 90.00
_space_group_name_H-M_alt 'P 1'
_space_group_IT_number 1
_space_group_name_Hall 'P 1'
loop_
_atom_site_label
_atom_site_type_symbol
_atom_site_fract_x
_atom_site_fract_y
_atom_site_fract_z
Nd1 Nd 0.0000 0.0000 0.2043
Nd2 Nd 0.0000 0.0000 0.7957
Nd3 Nd 0.5000 0.5000 0.2957
Nd4 Nd 0.5000 0.5000 0.7043
Pd1 Pd 0.0000 0.5000 0.0000
Pd2 Pd 0.5000 0.0000 0.5000
Rh1 Rh 0.0000 0.2643 0.5000
Rh2 Rh 0.0000 0.7357 0.5000
Rh3 Rh 0.5000 0.2357 0.0000
Rh4 Rh 0.5000 0.7643 0.0000
```

***

[7]
Diffraction record for InBi3Rh3. The X-ray diffraction stick pattern is simulated, not measured: it uses DFT lattice parameters and positions (PBE) and Cu Kα X-rays.
Neutral-atom scattering factors, no anomalous dispersion.

The 10 most intense peaks (2θ from 15° to 90°), by intensity:
2theta, d [Å], I_rel
35.52, 2.528, 100.0
33.80, 2.652, 65.7
40.97, 2.203, 63.9
35.29, 2.543, 45.6
26.84, 3.321, 43.5
54.45, 1.685, 35.4
28.93, 3.086, 24.6
41.18, 2.192, 23.7
59.49, 1.554, 22.6
78.22, 1.222, 18.0

Atomic structure:
```
data_InBi3Rh3
_cell_length_a 5.5621
_cell_length_b 5.5621
_cell_length_c 5.5621
_cell_angle_alpha 104.75
_cell_angle_beta 104.75
_cell_angle_gamma 104.75
_space_group_name_H-M_alt 'P 1'
_space_group_IT_number 1
_space_group_name_Hall 'P 1'
loop_
_atom_site_label
_atom_site_type_symbol
_atom_site_fract_x
_atom_site_fract_y
_atom_site_fract_z
In1 In 0.0000 0.0000 0.0000
Bi1 Bi 0.4276 0.4276 0.8262
Bi2 Bi 0.4276 0.8262 0.4276
Bi3 Bi 0.8262 0.4276 0.4276
Rh1 Rh 0.4866 0.9902 0.9902
Rh2 Rh 0.9902 0.4866 0.9902
Rh3 Rh 0.9902 0.9902 0.4866
```

***

[8]
Diffraction record for CaCe2F11. The X-ray diffraction stick pattern is simulated, not measured: it uses DFT lattice parameters and positions (PBE) and Cu Kα X-rays.
Neutral-atom scattering factors, no anomalous dispersion.

The 10 most intense peaks (2θ from 15° to 90°), by intensity:
2theta, d [Å], I_rel
15.94, 5.561, 100.0
23.61, 3.768, 98.5
23.37, 3.806, 73.8
21.41, 4.149, 64.6
20.80, 4.272, 47.7
43.84, 2.065, 39.8
16.99, 5.220, 38.2
43.68, 2.072, 38.0
49.47, 1.842, 26.3
31.31, 2.857, 21.9

Atomic structure:
```
data_CaCe2F11
_cell_length_a 8.7736
_cell_length_b 8.7736
_cell_length_c 8.7736
_cell_angle_alpha 120.75
_cell_angle_beta 106.99
_cell_angle_gamma 101.34
_space_group_name_H-M_alt 'P 1'
_space_group_IT_number 1
_space_group_name_Hall 'P 1'
loop_
_atom_site_label
_atom_site_type_symbol
_atom_site_fract_x
_atom_site_fract_y
_atom_site_fract_z
Ca1 Ca 0.2500 0.2500 0.0000
Ca2 Ca 0.7500 0.7500 0.0000
Ce1 Ce 0.1953 0.6700 0.8653
Ce2 Ce 0.3047 0.1700 0.4746
Ce3 Ce 0.6953 0.8300 0.5254
Ce4 Ce 0.8047 0.3300 0.1347
F1 F 0.0000 0.5000 0.5000
F2 F 0.0359 0.9647 0.2743
F3 F 0.0490 0.3457 0.1297
F4 F 0.1849 0.3955 0.5804
F5 F 0.1904 0.4647 0.9288
F6 F 0.2159 0.9192 0.8703
F7 F 0.2841 0.1543 0.7033
F8 F 0.3096 0.2384 0.2743
F9 F 0.3151 0.8955 0.2106
F10 F 0.4510 0.5808 0.2967
F11 F 0.4641 0.7384 0.9288
F12 F 0.5000 0.0000 0.5000
F13 F 0.5359 0.2616 0.0712
F14 F 0.5490 0.4192 0.7033
F15 F 0.6849 0.1045 0.7894
F16 F 0.6904 0.7616 0.7257
F17 F 0.7159 0.8457 0.2967
F18 F 0.7841 0.0808 0.1297
F19 F 0.8096 0.5353 0.0712
F20 F 0.8151 0.6045 0.4196
F21 F 0.9510 0.6543 0.8703
F22 F 0.9641 0.0353 0.7257
```

***

[9]
Diffraction record for NdUTe2N. The X-ray diffraction stick pattern is simulated, not measured: it uses DFT lattice parameters and positions (PBE) and Cu Kα X-rays.
Neutral-atom scattering factors, no anomalous dispersion.

The 10 most intense peaks (2θ from 15° to 90°), by intensity:
2theta, d [Å], I_rel
34.76, 2.581, 100.0
31.16, 2.871, 90.3
27.18, 3.281, 59.4
57.79, 1.596, 46.8
44.64, 2.030, 36.7
54.30, 1.690, 23.1
53.05, 1.726, 19.2
38.03, 2.366, 17.7
73.81, 1.284, 15.7
21.25, 4.180, 15.5

Atomic structure:
```
data_NdUTe2N
_cell_length_a 4.0596
_cell_length_b 4.0596
_cell_length_c 16.7208
_cell_angle_alpha 90.00
_cell_angle_beta 90.00
_cell_angle_gamma 90.00
_space_group_name_H-M_alt 'P 1'
_space_group_IT_number 1
_space_group_name_Hall 'P 1'
loop_
_atom_site_label
_atom_site_type_symbol
_atom_site_fract_x
_atom_site_fract_y
_atom_site_fract_z
Nd1 Nd 0.2500 0.2500 0.1458
Nd2 Nd 0.7500 0.7500 0.8542
U1 U 0.2500 0.2500 0.5646
U2 U 0.7500 0.7500 0.4354
Te1 Te 0.2500 0.2500 0.3285
Te2 Te 0.2500 0.2500 0.9213
Te3 Te 0.7500 0.7500 0.0787
Te4 Te 0.7500 0.7500 0.6715
N1 N 0.2500 0.7500 0.5000
N2 N 0.7500 0.2500 0.5000
```

***

[10]
Diffraction record for Nd8SbN4. The X-ray diffraction stick pattern is simulated, not measured: it uses DFT lattice parameters and positions (PBE) and Cu Kα X-rays.
Neutral-atom scattering factors, no anomalous dispersion.

The 10 most intense peaks (2θ from 15° to 90°), by intensity:
2theta, d [Å], I_rel
28.01, 3.186, 100.0
32.45, 2.759, 46.3
46.55, 1.951, 42.7
42.56, 2.124, 35.7
55.21, 1.664, 27.5
35.45, 2.532, 21.9
59.85, 1.545, 15.6
64.90, 1.437, 12.5
69.75, 1.348, 12.0
22.79, 3.902, 8.8

Atomic structure:
```
data_Nd8SbN4
_cell_length_a 7.8040
_cell_length_b 7.8040
_cell_length_c 7.8040
_cell_angle_alpha 60.00
_cell_angle_beta 60.00
_cell_angle_gamma 60.00
_space_group_name_H-M_alt 'P 1'
_space_group_IT_number 1
_space_group_name_Hall 'P 1'
loop_
_atom_site_label
_atom_site_type_symbol
_atom_site_fract_x
_atom_site_fract_y
_atom_site_fract_z
Nd1 Nd 0.0789 0.6404 0.6404
Nd2 Nd 0.1023 0.1023 0.1023
Nd3 Nd 0.1023 0.1023 0.6931
Nd4 Nd 0.1023 0.6931 0.1023
Nd5 Nd 0.6404 0.0789 0.6404
Nd6 Nd 0.6404 0.6404 0.0789
Nd7 Nd 0.6404 0.6404 0.6404
Nd8 Nd 0.6931 0.1023 0.1023
Sb1 Sb 0.2500 0.2500 0.2500
N1 N 0.3862 0.8713 0.8713
N2 N 0.8713 0.3862 0.8713
N3 N 0.8713 0.8713 0.3862
N4 N 0.8713 0.8713 0.8713
```

***

[11]
Diffraction record for P2Pb3O8. The X-ray diffraction stick pattern is simulated, not measured: it uses DFT lattice parameters and positions (PBE) and Cu Kα X-rays.
Neutral-atom scattering factors, no anomalous dispersion.

The 10 most intense peaks (2θ from 15° to 90°), by intensity:
2theta, d [Å], I_rel
29.90, 2.989, 100.0
30.15, 2.964, 89.9
21.49, 4.134, 71.3
31.01, 2.884, 59.8
20.53, 4.326, 41.2
48.83, 1.865, 39.2
27.27, 3.270, 36.1
47.44, 1.916, 34.3
46.24, 1.964, 34.1
26.30, 3.389, 33.4

Atomic structure:
```
data_P2Pb3O8
_cell_length_a 9.9900
_cell_length_b 9.9900
_cell_length_c 7.3663
_cell_angle_alpha 90.00
_cell_angle_beta 90.00
_cell_angle_gamma 120.00
_space_group_name_H-M_alt 'P 1'
_space_group_IT_number 1
_space_group_name_Hall 'P 1'
loop_
_atom_site_label
_atom_site_type_symbol
_atom_site_fract_x
_atom_site_fract_y
_atom_site_fract_z
P1 P 0.0220 0.6302 0.0000
P2 P 0.3698 0.3919 0.0000
P3 P 0.3948 0.0185 0.4962
P4 P 0.6081 0.9780 0.0000
P5 P 0.6237 0.6052 0.4962
P6 P 0.9815 0.3763 0.4962
Pb1 Pb 0.2654 0.2574 0.5056
Pb2 Pb 0.2687 0.0113 0.9887
Pb3 Pb 0.3333 0.6667 0.2445
Pb4 Pb 0.3333 0.6667 0.7389
Pb5 Pb 0.6667 0.3333 0.2364
Pb6 Pb 0.7426 0.0080 0.5056
Pb7 Pb 0.7425 0.7313 0.9887
Pb8 Pb 0.9887 0.2575 0.9887
Pb9 Pb 0.9920 0.7346 0.5056
O1 O 0.0751 0.7398 0.8310
O2 O 0.0942 0.5215 0.9791
O3 O 0.0987 0.7336 0.1701
O4 O 0.1620 0.4826 0.4949
O5 O 0.2602 0.3354 0.8310
O6 O 0.2664 0.3650 0.1701
O7 O 0.3205 0.8380 0.4949
O8 O 0.3279 0.0664 0.6584
O9 O 0.3524 0.0790 0.3227
O10 O 0.4273 0.9058 0.9791
O11 O 0.4653 0.3100 0.0148
O12 O 0.4785 0.5727 0.9791
O13 O 0.5174 0.6795 0.4949
O14 O 0.5221 0.4262 0.5044
O15 O 0.5738 0.0959 0.5044
O16 O 0.6350 0.9013 0.1701
O17 O 0.6646 0.9249 0.8310
O18 O 0.6900 0.1553 0.0148
O19 O 0.7266 0.6476 0.3227
O20 O 0.7385 0.6721 0.6584
O21 O 0.8447 0.5347 0.0148
O22 O 0.9041 0.4779 0.5044
O23 O 0.9210 0.2735 0.3227
O24 O 0.9336 0.2615 0.6584
```

***

[12]
Diffraction record for NaP2OsO8. The X-ray diffraction stick pattern is simulated, not measured: it uses DFT lattice parameters and positions (PBE) and Cu Kα X-rays.
Neutral-atom scattering factors, no anomalous dispersion.

The 10 most intense peaks (2θ from 15° to 90°), by intensity:
2theta, d [Å], I_rel
23.45, 3.794, 100.0
20.08, 4.421, 58.4
31.31, 2.857, 46.7
24.46, 3.639, 46.4
30.85, 2.899, 40.8
37.16, 2.419, 31.2
21.74, 4.088, 28.8
63.09, 1.474, 20.7
34.12, 2.628, 20.7
47.96, 1.897, 17.8

Atomic structure:
```
data_NaP2OsO8
_cell_length_a 4.8609
_cell_length_b 4.8609
_cell_length_c 7.5831
_cell_angle_alpha 91.31
_cell_angle_beta 91.31
_cell_angle_gamma 65.46
_space_group_name_H-M_alt 'P 1'
_space_group_IT_number 1
_space_group_name_Hall 'P 1'
loop_
_atom_site_label
_atom_site_type_symbol
_atom_site_fract_x
_atom_site_fract_y
_atom_site_fract_z
Na1 Na 0.0000 0.0000 0.0000
P1 P 0.3481 0.3481 0.2872
P2 P 0.6519 0.6519 0.7128
Os1 Os 0.0000 0.0000 0.5000
O1 O 0.2224 0.7031 0.3140
O2 O 0.2316 0.2316 0.4487
O3 O 0.2685 0.2685 0.1090
O4 O 0.2969 0.7776 0.6860
O5 O 0.7031 0.2224 0.3140
O6 O 0.7315 0.7315 0.8910
O7 O 0.7684 0.7684 0.5513
O8 O 0.7776 0.2969 0.6860
```